The following is a simulated PXRD pattern of GdYZr2Ge2. It was derived from a crystal structure in OQMD, relaxed with PBE, using Cu Ka.
Neutral-atom scattering factors, no anomalous dispersion.

Most intense lines, 15 to 90 degrees two-theta, by angle:
2theta	I (rel.)
30.9	40
32.1	100
33.7	39
37.8	96
40.2	22
43.1	63
55.8	36
75.4	24

Structure:
Unit cell a=4.2021 b=4.2021 c=7.9702 alpha=90.00 beta=90.00 gamma=90.00
Space group P4mm (No. 99)
Asymmetric unit:
Gd: 0.0000 0.0000 0.0000
Y: 0.5000 0.5000 0.6953
Zr: 0.0000 0.5000 0.3490
Ge: 0.0000 0.0000 0.6121
Ge: 0.5000 0.5000 0.0856